This entry pairs a crystal structure of KBa2V2ClO7 with its simulated PXRD pattern. Radiation: λ = 1.5418 Å (Cu Kα). Structure: a cell relaxed with PBE+U.
Kinematic intensities with the Lorentz-polarization factor, no thermal factor.

Structure:
```
KBa2V2ClO7
1.0
5.8860 0.0000 0.0000
-2.9430 5.0975 0.0000
0.0000 0.0000 15.3074
K Ba V Cl O
2 4 4 2 14
direct
0.3333 0.6667 0.0000
0.6667 0.3333 0.5000
0.3333 0.6667 0.3030
0.3333 0.6667 0.5946
0.6667 0.3333 0.0946
0.6667 0.3333 0.8030
0.0000 0.0000 0.1848
0.0000 0.0000 0.4221
0.0000 0.0000 0.6848
0.0000 0.0000 0.9221
0.3333 0.6667 0.7987
0.6667 0.3333 0.2987
0.0000 0.0000 0.3034
0.0000 0.0000 0.8034
0.1597 0.3194 0.1491
0.1597 0.8403 0.1491
0.1606 0.3212 0.4560
0.1606 0.8394 0.4560
0.3194 0.1597 0.6491
0.3212 0.1606 0.9560
0.6788 0.8394 0.4560
0.6806 0.8403 0.1491
0.8394 0.1606 0.9560
0.8394 0.6788 0.9560
0.8403 0.1597 0.6491
0.8403 0.6806 0.6491
```

The 6 most intense peaks (10 to 90 degrees two-theta), low angle first:
d_spacing	two_theta	I_rel
4.836	18.3	33
3.606	24.7	57
3.060	29.2	62
2.943	30.4	100
2.333	38.6	22
2.280	39.5	47